# NaCdGa4
Computed powder diffraction line list, Cu Kα, 1.54184 Å. Input: a crystal structure in Alexandria, relaxed with PBE.

Largest 10 diffraction maxima, by angle, 10° ≤ 2θ ≤ 80°:
- 19.39°, I 18
- 22.43°, I 12
- 31.93°, I 24
- 37.63°, I 100
- 39.37°, I 43
- 45.78°, I 5
- 56.89°, I 9
- 60.69°, I 31
- 66.74°, I 25
- 79.22°, I 11

Atomic structure:
```
6
Lattice="0.000 3.964 3.964 3.964 0.000 3.964 3.964 3.964 0.000" Properties=species:S:1:pos:R:3 pbc="T T T"
Na 0.000 0.000 0.000
Cd 1.982 1.982 1.982
Ga 4.956 2.973 2.973
Ga 2.973 4.956 2.973
Ga 2.973 2.973 4.956
Ga 4.956 4.956 4.956
```


# Er6C2S
Computed powder diffraction line list, Cu Kα, 1.54184 Å. Input: a crystal structure in Alexandria, relaxed with PBE.

Largest 10 diffraction maxima, by angle, 10° ≤ 2θ ≤ 80°:
- 29.51°, I 47
- 29.81°, I 50
- 30.22°, I 100
- 34.51°, I 84
- 35.11°, I 40
- 49.85°, I 25
- 50.28°, I 44
- 59.43°, I 22
- 59.97°, I 19
- 62.85°, I 15

Atomic structure:
```
9
Lattice="7.872 -1.813 0.000 7.872 1.813 0.000 -1.689 0.000 7.262" Properties=species:S:1:pos:R:3 pbc="T T T"
Er -0.289 0.000 1.936
Er 3.638 0.000 6.417
Er 4.459 0.000 3.162
Er 9.598 0.000 4.100
Er 10.418 0.000 0.845
Er 14.346 0.000 5.326
C 2.074 0.000 2.439
C 11.982 0.000 4.823
S 7.872 0.000 0.000
```


# Pm8ScSb6
Computed powder diffraction line list, Cu Kα, 1.54184 Å. Input: a crystal structure in Alexandria, relaxed with PBE.

Largest 10 diffraction maxima, by angle, 10° ≤ 2θ ≤ 80°:
- 23.26°, I 10
- 24.95°, I 16
- 29.50°, I 100
- 40.88°, I 38
- 43.50°, I 29
- 51.21°, I 21
- 61.22°, I 11
- 67.51°, I 17
- 71.27°, I 11
- 76.26°, I 10

Atomic structure:
```
15
Lattice="3.824 2.208 9.919 -3.824 2.208 9.919 0.000 -4.415 9.919" Properties=species:S:1:pos:R:3 pbc="T T T"
Pm -1.321 -2.267 11.386
Pm 0.000 0.000 4.964
Pm -2.624 0.011 18.371
Pm -1.303 2.278 11.386
Pm 1.303 -2.278 18.372
Pm 2.624 -0.011 11.386
Pm 0.000 0.000 24.793
Pm 1.321 2.267 18.371
Sc 0.000 0.000 14.879
Sb -2.449 0.006 13.119
Sb -1.230 -2.118 16.638
Sb 1.219 -2.124 13.119
Sb -1.219 2.124 16.638
Sb 1.230 2.118 13.119
Sb 2.449 -0.006 16.638
```